For La3ErTm3, the PBE geometry in Alexandria gives the theoretical powder diffractogram in this record (Cu Ka).
Peak positions follow from Bragg's law for the DFT cell and can differ from measured ones.

Peak list (6 most intense, 10 to 90 degrees two-theta, most intense first)
2θ 31.35, rel. 100
2θ 34.31, rel. 46
2θ 30.71, rel. 34
2θ 60.71, rel. 29
2θ 50.99, rel. 28
2θ 53.02, rel. 28

Structure:
```
data_La3ErTm3
_cell_length_a 14.9896
_cell_length_b 14.9896
_cell_length_c 14.9896
_cell_angle_alpha 23.89
_cell_angle_beta 23.89
_cell_angle_gamma 23.89
_symmetry_space_group_name_H-M 'P 1'
_symmetry_Int_Tables_number 1
_symmetry_space_group_name_Hall 'P 1'
loop_
_atom_site_label
_atom_site_type_symbol
_atom_site_fract_x
_atom_site_fract_y
_atom_site_fract_z
La1 La 0.1296 0.4584 0.7988
La2 La 0.2012 0.8704 0.5416
La3 La 0.4584 0.7988 0.1296
La4 La 0.5416 0.2012 0.8704
La5 La 0.7988 0.1296 0.4584
La6 La 0.8704 0.5416 0.2012
Er1 Er 0.3333 0.3333 0.3333
Er2 Er 0.6667 0.6667 0.6667
Tm1 Tm 0.0628 0.7299 0.3956
Tm2 Tm 0.2701 0.6044 0.9372
Tm3 Tm 0.3956 0.0628 0.7299
Tm4 Tm 0.6044 0.9372 0.2701
Tm5 Tm 0.7299 0.3956 0.0628
Tm6 Tm 0.9372 0.2701 0.6044
```

***

For Sc6CoPb2S, the PBE geometry in Alexandria gives the theoretical powder diffractogram in this record (Cu Ka).
Peak positions follow from Bragg's law for the DFT cell and can differ from measured ones.

Peak list (6 most intense, 10 to 90 degrees two-theta, most intense first)
2θ 25.92, rel. 100
2θ 31.89, rel. 78
2θ 36.99, rel. 69
2θ 53.31, rel. 46
2θ 45.72, rel. 45
2θ 63.47, rel. 31

Structure:
```
data_Sc6CoPb2S
_cell_length_a 6.8732
_cell_length_b 6.8732
_cell_length_c 6.8732
_cell_angle_alpha 119.97
_cell_angle_beta 119.97
_cell_angle_gamma 90.06
_symmetry_space_group_name_H-M 'P 1'
_symmetry_Int_Tables_number 1
_symmetry_space_group_name_Hall 'P 1'
loop_
_atom_site_label
_atom_site_type_symbol
_atom_site_fract_x
_atom_site_fract_y
_atom_site_fract_z
Sc1 Sc 0.2427 0.2427 0.0000
Sc2 Sc 0.2429 0.2429 0.4858
Sc3 Sc 0.2429 0.7571 0.0000
Sc4 Sc 0.7571 0.2429 0.0000
Sc5 Sc 0.7573 0.7573 0.0000
Sc6 Sc 0.7571 0.7571 0.5142
Co1 Co 0.0000 0.0000 0.0000
Pb1 Pb 0.2500 0.7500 0.5000
Pb2 Pb 0.7500 0.2500 0.5000
S1 S 0.5000 0.5000 0.0000
```

***

For Ca2Ga12Ni, the PBE geometry in Alexandria gives the theoretical powder diffractogram in this record (Cu Ka).
Peak positions follow from Bragg's law for the DFT cell and can differ from measured ones.

Peak list (6 most intense, 10 to 90 degrees two-theta, most intense first)
2θ 31.79, rel. 100
2θ 45.73, rel. 91
2θ 42.44, rel. 83
2θ 37.50, rel. 46
2θ 23.72, rel. 35
2θ 30.85, rel. 35

Structure:
```
data_Ca2Ga12Ni
_cell_length_a 6.0245
_cell_length_b 6.0245
_cell_length_c 15.8224
_cell_angle_alpha 90.00
_cell_angle_beta 90.00
_cell_angle_gamma 90.00
_symmetry_space_group_name_H-M 'P 1'
_symmetry_Int_Tables_number 1
_symmetry_space_group_name_Hall 'P 1'
loop_
_atom_site_label
_atom_site_type_symbol
_atom_site_fract_x
_atom_site_fract_y
_atom_site_fract_z
Ca1 Ca 0.2500 0.7500 0.2459
Ca2 Ca 0.2500 0.7500 0.7541
Ca3 Ca 0.7500 0.2500 0.2459
Ca4 Ca 0.7500 0.2500 0.7541
Ga1 Ga 0.9998 0.0002 0.0840
Ga2 Ga 0.0002 0.9998 0.9160
Ga3 Ga 0.0002 0.5002 0.0840
Ga4 Ga 0.9998 0.4998 0.9160
Ga5 Ga 0.0753 0.5753 0.4295
Ga6 Ga 0.0753 0.9247 0.5705
Ga7 Ga 0.2500 0.2500 0.1839
Ga8 Ga 0.2500 0.2500 0.3409
Ga9 Ga 0.2500 0.2500 0.6591
Ga10 Ga 0.2500 0.2500 0.8161
Ga11 Ga 0.4247 0.5753 0.5705
Ga12 Ga 0.4247 0.9247 0.4295
Ga13 Ga 0.4998 0.9998 0.0840
Ga14 Ga 0.5002 0.0002 0.9160
Ga15 Ga 0.5002 0.4998 0.0840
Ga16 Ga 0.4998 0.5002 0.9160
Ga17 Ga 0.5753 0.0753 0.5705
Ga18 Ga 0.5753 0.4247 0.4295
Ga19 Ga 0.7500 0.7500 0.1839
Ga20 Ga 0.7500 0.7500 0.3409
Ga21 Ga 0.7500 0.7500 0.6591
Ga22 Ga 0.7500 0.7500 0.8161
Ga23 Ga 0.9247 0.0753 0.4295
Ga24 Ga 0.9247 0.4247 0.5705
Ni1 Ni 0.2500 0.7500 0.0000
Ni2 Ni 0.7500 0.2500 0.0000
```

***

For PrGe2Pd7, the PBE geometry in Alexandria gives the theoretical powder diffractogram in this record (Cu Ka).
Peak positions follow from Bragg's law for the DFT cell and can differ from measured ones.

Peak list (6 most intense, 10 to 90 degrees two-theta, most intense first)
2θ 40.47, rel. 100
2θ 43.81, rel. 62
2θ 78.23, rel. 28
2θ 35.28, rel. 27
2θ 63.68, rel. 25
2θ 31.82, rel. 20

Structure:
```
data_PrGe2Pd7
_cell_length_a 10.7481
_cell_length_b 10.7481
_cell_length_c 10.7481
_cell_angle_alpha 157.83
_cell_angle_beta 157.83
_cell_angle_gamma 31.55
_symmetry_space_group_name_H-M 'P 1'
_symmetry_Int_Tables_number 1
_symmetry_space_group_name_Hall 'P 1'
loop_
_atom_site_label
_atom_site_type_symbol
_atom_site_fract_x
_atom_site_fract_y
_atom_site_fract_z
Pr1 Pr 0.0000 0.0000 0.0000
Ge1 Ge 0.3240 0.3240 0.0000
Ge2 Ge 0.6760 0.6760 0.0000
Pd1 Pd 0.1071 0.6071 0.5000
Pd2 Pd 0.2500 0.7500 0.5000
Pd3 Pd 0.3929 0.8929 0.5000
Pd4 Pd 0.5000 0.5000 0.0000
Pd5 Pd 0.6071 0.1071 0.5000
Pd6 Pd 0.7500 0.2500 0.5000
Pd7 Pd 0.8929 0.3929 0.5000
```

***

For Pm6InPb6, the PBE geometry in Alexandria gives the theoretical powder diffractogram in this record (Cu Ka).
Peak positions follow from Bragg's law for the DFT cell and can differ from measured ones.

Peak list (6 most intense, 10 to 90 degrees two-theta, most intense first)
2θ 35.29, rel. 100
2θ 30.81, rel. 49
2θ 31.62, rel. 42
2θ 54.78, rel. 27
2θ 33.96, rel. 27
2θ 66.04, rel. 24

Structure:
```
data_Pm6InPb6
_cell_length_a 6.7028
_cell_length_b 6.7028
_cell_length_c 10.5588
_cell_angle_alpha 90.00
_cell_angle_beta 90.00
_cell_angle_gamma 120.00
_symmetry_space_group_name_H-M 'P 1'
_symmetry_Int_Tables_number 1
_symmetry_space_group_name_Hall 'P 1'
loop_
_atom_site_label
_atom_site_type_symbol
_atom_site_fract_x
_atom_site_fract_y
_atom_site_fract_z
Pm1 Pm 0.0000 0.0000 0.1881
Pm2 Pm 0.0000 0.0000 0.8119
Pm3 Pm 0.3333 0.6667 0.0000
Pm4 Pm 0.3333 0.6667 0.5000
Pm5 Pm 0.6667 0.3333 0.0000
Pm6 Pm 0.6667 0.3333 0.5000
In1 In 0.0000 0.0000 0.5000
Pb1 Pb 0.0000 0.5000 0.2496
Pb2 Pb 0.0000 0.5000 0.7504
Pb3 Pb 0.5000 0.0000 0.2496
Pb4 Pb 0.5000 0.0000 0.7504
Pb5 Pb 0.5000 0.5000 0.2496
Pb6 Pb 0.5000 0.5000 0.7504
```

***

For CoGePt6, the PBE geometry in Alexandria gives the theoretical powder diffractogram in this record (Cu Ka).
Peak positions follow from Bragg's law for the DFT cell and can differ from measured ones.

Peak list (6 most intense, 10 to 90 degrees two-theta, most intense first)
2θ 39.19, rel. 100
2θ 40.38, rel. 94
2θ 45.52, rel. 66
2θ 68.10, rel. 40
2θ 47.76, rel. 29
2θ 79.08, rel. 25

Structure:
```
data_CoGePt6
_cell_length_a 6.9097
_cell_length_b 6.3905
_cell_length_c 4.7023
_cell_angle_alpha 75.34
_cell_angle_beta 63.48
_cell_angle_gamma 41.18
_symmetry_space_group_name_H-M 'P 1'
_symmetry_Int_Tables_number 1
_symmetry_space_group_name_Hall 'P 1'
loop_
_atom_site_label
_atom_site_type_symbol
_atom_site_fract_x
_atom_site_fract_y
_atom_site_fract_z
Co1 Co 0.0000 0.0000 0.0000
Ge1 Ge 0.5000 0.5000 0.5000
Pt1 Pt 0.1188 0.1188 0.3812
Pt2 Pt 0.2434 0.2434 0.7566
Pt3 Pt 0.3812 0.3812 0.1188
Pt4 Pt 0.6188 0.6188 0.8812
Pt5 Pt 0.7566 0.7566 0.2434
Pt6 Pt 0.8812 0.8812 0.6188
```

***

For Rb2LiTeI6, the PBE geometry in Alexandria gives the theoretical powder diffractogram in this record (Cu Ka).
Peak positions follow from Bragg's law for the DFT cell and can differ from measured ones.

Peak list (6 most intense, 10 to 90 degrees two-theta, most intense first)
2θ 25.40, rel. 100
2θ 29.71, rel. 60
2θ 41.85, rel. 42
2θ 50.18, rel. 30
2θ 28.80, rel. 30
2θ 42.52, rel. 22

Structure:
```
data_Rb2LiTeI6
_cell_length_a 8.6378
_cell_length_b 8.6378
_cell_length_c 8.6378
_cell_angle_alpha 121.02
_cell_angle_beta 121.02
_cell_angle_gamma 88.25
_symmetry_space_group_name_H-M 'P 1'
_symmetry_Int_Tables_number 1
_symmetry_space_group_name_Hall 'P 1'
loop_
_atom_site_label
_atom_site_type_symbol
_atom_site_fract_x
_atom_site_fract_y
_atom_site_fract_z
Rb1 Rb 0.2500 0.7500 0.5000
Rb2 Rb 0.7500 0.2500 0.5000
Li1 Li 0.0000 0.0000 0.0000
Te1 Te 0.5000 0.5000 0.0000
I1 I 0.2241 0.2241 0.0000
I2 I 0.2552 0.2552 0.5104
I3 I 0.2552 0.7448 0.0000
I4 I 0.7448 0.2552 0.0000
I5 I 0.7448 0.7448 0.4896
I6 I 0.7759 0.7759 0.0000
```

***

For Li2SmAu4, the PBE geometry in Alexandria gives the theoretical powder diffractogram in this record (Cu Ka).
Peak positions follow from Bragg's law for the DFT cell and can differ from measured ones.

Peak list (6 most intense, 10 to 90 degrees two-theta, most intense first)
2θ 41.65, rel. 100
2θ 33.90, rel. 82
2θ 35.68, rel. 78
2θ 32.73, rel. 50
2θ 25.08, rel. 47
2θ 24.97, rel. 47

Structure:
```
data_Li2SmAu4
_cell_length_a 8.8090
_cell_length_b 7.1315
_cell_length_c 5.2892
_cell_angle_alpha 90.00
_cell_angle_beta 126.27
_cell_angle_gamma 90.00
_symmetry_space_group_name_H-M 'P 1'
_symmetry_Int_Tables_number 1
_symmetry_space_group_name_Hall 'P 1'
loop_
_atom_site_label
_atom_site_type_symbol
_atom_site_fract_x
_atom_site_fract_y
_atom_site_fract_z
Li1 Li 0.0012 0.0000 0.2512
Li2 Li 0.4988 0.5000 0.7488
Li3 Li 0.5012 0.5000 0.2512
Li4 Li 0.9988 0.0000 0.7488
Sm1 Sm 0.0000 0.5000 0.5000
Sm2 Sm 0.5000 0.0000 0.5000
Au1 Au 0.2011 0.2996 0.2015
Au2 Au 0.2011 0.7004 0.2015
Au3 Au 0.2989 0.2004 0.7985
Au4 Au 0.2989 0.7996 0.7985
Au5 Au 0.7011 0.2004 0.2015
Au6 Au 0.7011 0.7996 0.2015
Au7 Au 0.7989 0.2996 0.7985
Au8 Au 0.7989 0.7004 0.7985
```

***

For Ho5NiHg4, the PBE geometry in Alexandria gives the theoretical powder diffractogram in this record (Cu Ka).
Peak positions follow from Bragg's law for the DFT cell and can differ from measured ones.

Peak list (6 most intense, 10 to 90 degrees two-theta, most intense first)
2θ 34.59, rel. 100
2θ 35.31, rel. 51
2θ 62.91, rel. 36
2θ 50.80, rel. 18
2θ 61.51, rel. 15
2θ 72.96, rel. 9

Structure:
```
data_Ho5NiHg4
_cell_length_a 3.5948
_cell_length_b 3.5948
_cell_length_c 18.7247
_cell_angle_alpha 90.00
_cell_angle_beta 90.00
_cell_angle_gamma 90.00
_symmetry_space_group_name_H-M 'P 1'
_symmetry_Int_Tables_number 1
_symmetry_space_group_name_Hall 'P 1'
loop_
_atom_site_label
_atom_site_type_symbol
_atom_site_fract_x
_atom_site_fract_y
_atom_site_fract_z
Ho1 Ho 0.0000 0.0000 0.0000
Ho2 Ho 0.0000 0.0000 0.2069
Ho3 Ho 0.0000 0.0000 0.4152
Ho4 Ho 0.0000 0.0000 0.5848
Ho5 Ho 0.0000 0.0000 0.7931
Ni1 Ni 0.5000 0.5000 0.5000
Hg1 Hg 0.5000 0.5000 0.1030
Hg2 Hg 0.5000 0.5000 0.3084
Hg3 Hg 0.5000 0.5000 0.6916
Hg4 Hg 0.5000 0.5000 0.8970
```

***

For Pm3Tl2Hg2, the PBE geometry in Alexandria gives the theoretical powder diffractogram in this record (Cu Ka).
Peak positions follow from Bragg's law for the DFT cell and can differ from measured ones.

Peak list (6 most intense, 10 to 90 degrees two-theta, most intense first)
2θ 34.49, rel. 100
2θ 31.37, rel. 95
2θ 34.77, rel. 68
2θ 34.87, rel. 66
2θ 47.31, rel. 62
2θ 33.56, rel. 59

Structure:
```
data_Pm3Tl2Hg2
_cell_length_a 5.2007
_cell_length_b 5.3555
_cell_length_c 8.9393
_cell_angle_alpha 101.23
_cell_angle_beta 90.17
_cell_angle_gamma 118.79
_symmetry_space_group_name_H-M 'P 1'
_symmetry_Int_Tables_number 1
_symmetry_space_group_name_Hall 'P 1'
loop_
_atom_site_label
_atom_site_type_symbol
_atom_site_fract_x
_atom_site_fract_y
_atom_site_fract_z
Pm1 Pm 0.0000 0.0000 0.0000
Pm2 Pm 0.2755 0.5569 0.6999
Pm3 Pm 0.7245 0.4431 0.3001
Tl1 Tl 0.3625 0.7215 0.1448
Tl2 Tl 0.6375 0.2785 0.8552
Hg1 Hg 0.0686 0.1271 0.3623
Hg2 Hg 0.9314 0.8729 0.6377
```

***

For CrAg4Mo2, the PBE geometry in Alexandria gives the theoretical powder diffractogram in this record (Cu Ka).
Peak positions follow from Bragg's law for the DFT cell and can differ from measured ones.

Peak list (6 most intense, 10 to 90 degrees two-theta, most intense first)
2θ 34.95, rel. 100
2θ 38.88, rel. 60
2θ 28.17, rel. 47
2θ 53.27, rel. 46
2θ 13.65, rel. 39
2θ 50.26, rel. 34

Structure:
```
data_CrAg4Mo2
_cell_length_a 5.1341
_cell_length_b 5.1341
_cell_length_c 12.9762
_cell_angle_alpha 90.00
_cell_angle_beta 90.00
_cell_angle_gamma 90.00
_symmetry_space_group_name_H-M 'P 1'
_symmetry_Int_Tables_number 1
_symmetry_space_group_name_Hall 'P 1'
loop_
_atom_site_label
_atom_site_type_symbol
_atom_site_fract_x
_atom_site_fract_y
_atom_site_fract_z
Cr1 Cr 0.0000 0.0000 0.0000
Cr2 Cr 0.5000 0.5000 0.5000
Ag1 Ag 0.0000 0.0000 0.2013
Ag2 Ag 0.0000 0.0000 0.7987
Ag3 Ag 0.0000 0.5000 0.0000
Ag4 Ag 0.0000 0.5000 0.5000
Ag5 Ag 0.5000 0.0000 0.0000
Ag6 Ag 0.5000 0.0000 0.5000
Ag7 Ag 0.5000 0.5000 0.2987
Ag8 Ag 0.5000 0.5000 0.7013
Mo1 Mo 0.0000 0.0000 0.4171
Mo2 Mo 0.0000 0.0000 0.5829
Mo3 Mo 0.5000 0.5000 0.0829
Mo4 Mo 0.5000 0.5000 0.9171
```

***

For HfScTcRh, the PBE geometry in Alexandria gives the theoretical powder diffractogram in this record (Cu Ka).
Peak positions follow from Bragg's law for the DFT cell and can differ from measured ones.

Peak list (6 most intense, 10 to 90 degrees two-theta, most intense first)
2θ 39.18, rel. 100
2θ 71.01, rel. 33
2θ 13.60, rel. 21
2θ 56.61, rel. 17
2θ 30.75, rel. 11
2θ 84.23, rel. 11

Structure:
```
data_HfScTcRh
_cell_length_a 3.2502
_cell_length_b 3.2502
_cell_length_c 6.5087
_cell_angle_alpha 90.00
_cell_angle_beta 90.00
_cell_angle_gamma 90.00
_symmetry_space_group_name_H-M 'P 1'
_symmetry_Int_Tables_number 1
_symmetry_space_group_name_Hall 'P 1'
loop_
_atom_site_label
_atom_site_type_symbol
_atom_site_fract_x
_atom_site_fract_y
_atom_site_fract_z
Hf1 Hf 0.0000 0.0000 0.0000
Sc1 Sc 0.0000 0.0000 0.4889
Tc1 Tc 0.5000 0.5000 0.2377
Rh1 Rh 0.5000 0.5000 0.7466
```

***

What did the sixth record say?
For CoGePt6, the PBE geometry in Alexandria gives the theoretical powder diffractogram in this record (Cu Ka).
Peak positions follow from Bragg's law for the DFT cell and can differ from measured ones.

Peak list (6 most intense, 10 to 90 degrees two-theta, most intense first)
2θ 39.19, rel. 100
2θ 40.38, rel. 94
2θ 45.52, rel. 66
2θ 68.10, rel. 40
2θ 47.76, rel. 29
2θ 79.08, rel. 25

Structure:
```
data_CoGePt6
_cell_length_a 6.9097
_cell_length_b 6.3905
_cell_length_c 4.7023
_cell_angle_alpha 75.34
_cell_angle_beta 63.48
_cell_angle_gamma 41.18
_symmetry_space_group_name_H-M 'P 1'
_symmetry_Int_Tables_number 1
_symmetry_space_group_name_Hall 'P 1'
loop_
_atom_site_label
_atom_site_type_symbol
_atom_site_fract_x
_atom_site_fract_y
_atom_site_fract_z
Co1 Co 0.0000 0.0000 0.0000
Ge1 Ge 0.5000 0.5000 0.5000
Pt1 Pt 0.1188 0.1188 0.3812
Pt2 Pt 0.2434 0.2434 0.7566
Pt3 Pt 0.3812 0.3812 0.1188
Pt4 Pt 0.6188 0.6188 0.8812
Pt5 Pt 0.7566 0.7566 0.2434
Pt6 Pt 0.8812 0.8812 0.6188
```

***

Copy entry 10 word for word.
For Pm3Tl2Hg2, the PBE geometry in Alexandria gives the theoretical powder diffractogram in this record (Cu Ka).
Peak positions follow from Bragg's law for the DFT cell and can differ from measured ones.

Peak list (6 most intense, 10 to 90 degrees two-theta, most intense first)
2θ 34.49, rel. 100
2θ 31.37, rel. 95
2θ 34.77, rel. 68
2θ 34.87, rel. 66
2θ 47.31, rel. 62
2θ 33.56, rel. 59

Structure:
```
data_Pm3Tl2Hg2
_cell_length_a 5.2007
_cell_length_b 5.3555
_cell_length_c 8.9393
_cell_angle_alpha 101.23
_cell_angle_beta 90.17
_cell_angle_gamma 118.79
_symmetry_space_group_name_H-M 'P 1'
_symmetry_Int_Tables_number 1
_symmetry_space_group_name_Hall 'P 1'
loop_
_atom_site_label
_atom_site_type_symbol
_atom_site_fract_x
_atom_site_fract_y
_atom_site_fract_z
Pm1 Pm 0.0000 0.0000 0.0000
Pm2 Pm 0.2755 0.5569 0.6999
Pm3 Pm 0.7245 0.4431 0.3001
Tl1 Tl 0.3625 0.7215 0.1448
Tl2 Tl 0.6375 0.2785 0.8552
Hg1 Hg 0.0686 0.1271 0.3623
Hg2 Hg 0.9314 0.8729 0.6377
```